Starting from a PBE+U-relaxed structure, the PXRD pattern of Fe5O7F3 was calculated for Cu Kα (λ = 1.5418 Å).

Crystal structure
```
data_Fe5O7F3
_chemical_formula_sum 'Fe10 O14 F6'
_cell_length_a 4.6394
_cell_length_b 4.6445
_cell_length_c 15.8556
_cell_angle_alpha 90.00
_cell_angle_beta 106.67
_cell_angle_gamma 90.00
_symmetry_space_group_name_H-M 'P 1'
_symmetry_Int_Tables_number 1
_symmetry_space_group_name_Hall 'P 1'
loop_
_atom_site_label
_atom_site_type_symbol
_atom_site_fract_x
_atom_site_fract_y
_atom_site_fract_z
Fe1 Fe 0.0000 0.2303 0.0000
Fe2 Fe 0.0000 0.7697 0.5000
Fe3 Fe 0.1390 0.2703 0.1924
Fe4 Fe 0.1390 0.7297 0.6924
Fe5 Fe 0.3210 0.2657 0.3852
Fe6 Fe 0.3210 0.7343 0.8852
Fe7 Fe 0.5605 0.2481 0.5914
Fe8 Fe 0.5605 0.7519 0.0914
Fe9 Fe 0.7703 0.2649 0.7935
Fe10 Fe 0.7703 0.7351 0.2935
O1 O 0.0473 0.0633 0.2887
O2 O 0.0473 0.9367 0.7887
O3 O 0.0528 0.4252 0.8963
O4 O 0.0528 0.5748 0.3963
O5 O 0.2595 0.4477 0.0958
O6 O 0.2595 0.5523 0.5958
O7 O 0.2757 0.0745 0.4912
O8 O 0.2757 0.9255 0.9912
O9 O 0.4408 0.4529 0.2906
O10 O 0.4408 0.5471 0.7906
O11 O 0.8411 0.4369 0.6900
O12 O 0.8411 0.5631 0.1900
O13 O 0.8690 0.0557 0.0940
O14 O 0.8690 0.9443 0.5940
F1 F 0.4573 0.0467 0.6938
F2 F 0.4573 0.9533 0.1938
F3 F 0.6580 0.4609 0.4894
F4 F 0.6580 0.5391 0.9894
F5 F 0.6624 0.0392 0.8941
F6 F 0.6624 0.9608 0.3941
```

Peak list (8 most intense, 10 to 80 degrees two-theta, by angle)
| 2theta | Rel. int. | h k l |
| --- | --- | --- |
| 27.2 | 100 | 1 1 -1 |
| 35.3 | 40 | 0 1 5 |
| 35.4 | 14 | 1 0 -6 |
| 53.4 | 28 | 1 2 4 |
| 53.6 | 30 | 2 1 -7 |
| 56.0 | 16 | 2 2 -2 |
| 68.0 | 10 | 0 3 5 |
| 68.2 | 11 | 3 0 -8 |